For LiMg14WO16, DFT lattice parameters and positions (PBE+U) gives the computed powder diffraction line list in this record (a wavelength of 1.5418 Å).
Kinematic intensities with the Lorentz-polarization factor, no thermal factor.

Principal peaks in the range 2θ = 5–70°, in order of rising 2θ:
| 2θ (°) | I/Imax | (hkl) |
| --- | --- | --- |
| 10.3 | 987 | 0 0 1 |
| 14.6 | 607 | 0 1 1 |
| 23.2 | 594 | 1 0 1 |
| 25.5 | 412 | 1 1 1 |
| 31.3 | 294 | 1 2 1 |
| 36.3 | 380 | 1 2 2 |
| 42.0 | 501 | 0 0 4 |
| 42.2 | 1000 | 2 0 0 |
| 61.1 | 579 | 2 0 4 |
| 61.2 | 291 | 2 4 0 |

Structure:
Lattice parameters (Å, degrees): 4.281 8.561 8.609 90.00 90.00 90.00
Positions (direct):
Li: 0.000 0.000 0.000
Mg: 0.000 0.250 0.240
Mg: 0.000 0.250 0.760
Mg: 0.000 0.500 0.000
Mg: 0.000 0.500 0.500
Mg: 0.000 0.750 0.240
Mg: 0.000 0.750 0.760
Mg: 0.500 0.000 0.234
Mg: 0.500 0.000 0.766
Mg: 0.500 0.245 0.000
Mg: 0.500 0.257 0.500
Mg: 0.500 0.500 0.247
Mg: 0.500 0.500 0.753
Mg: 0.500 0.743 0.500
Mg: 0.500 0.755 0.000
W: 0.000 0.000 0.500
O: 0.000 0.000 0.250
O: 0.000 0.000 0.750
O: 0.000 0.254 0.500
O: 0.000 0.259 0.000
O: 0.000 0.500 0.253
O: 0.000 0.500 0.747
O: 0.000 0.741 0.000
O: 0.000 0.746 0.500
O: 0.500 0.000 0.000
O: 0.500 0.000 0.500
O: 0.500 0.249 0.252
O: 0.500 0.249 0.748
O: 0.500 0.500 0.000
O: 0.500 0.500 0.500
O: 0.500 0.751 0.252
O: 0.500 0.751 0.748

For LiMg14WO16, DFT lattice parameters and positions (PBE+U) gives the computed powder diffraction line list in this record (a wavelength of 1.5418 Å).
Kinematic intensities with the Lorentz-polarization factor, no thermal factor.

Principal peaks in the range 2θ = 5–70°, in order of rising 2θ:
| 2θ (°) | I/Imax | (hkl) |
| --- | --- | --- |
| 10.3 | 1000 | 1 0 0 |
| 14.6 | 276 | 1 1 0 |
| 20.7 | 214 | 2 0 0 |
| 23.2 | 753 | 2 1 0 |
| 31.3 | 535 | 3 0 0 |
| 36.3 | 305 | 2 2 1 |
| 42.1 | 799 | 4 0 0 |
| 42.2 | 403 | 0 0 2 |
| 48.7 | 214 | 4 1 1 |
| 61.1 | 695 | 4 0 2 |

Structure:
Lattice parameters (Å, degrees): 8.582 8.582 4.280 90.00 90.00 90.00
Positions (direct):
Li: 0.000 0.000 0.000
Mg: 0.000 0.242 0.500
Mg: 0.000 0.500 0.000
Mg: 0.000 0.758 0.500
Mg: 0.240 0.500 0.500
Mg: 0.241 0.241 0.000
Mg: 0.241 0.759 0.000
Mg: 0.242 0.000 0.500
Mg: 0.500 0.000 0.000
Mg: 0.500 0.240 0.500
Mg: 0.500 0.760 0.500
Mg: 0.758 0.000 0.500
Mg: 0.759 0.241 0.000
Mg: 0.759 0.759 0.000
Mg: 0.760 0.500 0.500
W: 0.500 0.500 0.000
O: 0.000 0.000 0.500
O: 0.000 0.259 0.000
O: 0.000 0.500 0.500
O: 0.000 0.741 0.000
O: 0.248 0.500 0.000
O: 0.252 0.252 0.500
O: 0.252 0.748 0.500
O: 0.259 0.000 0.000
O: 0.500 0.000 0.500
O: 0.500 0.248 0.000
O: 0.500 0.500 0.500
O: 0.500 0.752 0.000
O: 0.741 0.000 0.000
O: 0.748 0.252 0.500
O: 0.748 0.748 0.500
O: 0.752 0.500 0.000